Entry 1:
For MgTl4Ni4O12, a GGA+U-relaxed structure gives the theoretical XRD peak list in this record (λ = 1.5418 Å (Cu Kα)).

The 10 most intense peaks (5 to 70 degrees two-theta), by intensity:
- 32.9°, d = 2.722 Å, I 100
- 32.4°, d = 2.760 Å, I 91
- 32.2°, d = 2.782 Å, I 80
- 20.7°, d = 4.297 Å, I 76
- 33.1°, d = 2.708 Å, I 75
- 30.6°, d = 2.920 Å, I 71
- 26.5°, d = 3.362 Å, I 66
- 21.3°, d = 4.169 Å, I 66
- 34.1°, d = 2.630 Å, I 60
- 24.0°, d = 3.710 Å, I 57

Structural model:
Lattice parameters (Å, degrees): 5.590 5.728 8.814 78.04 83.87 82.24
Positions (direct):
Mg: 0.000 0.000 0.000
Tl: 0.061 0.777 0.369
Tl: 0.531 0.246 0.839
Tl: 0.594 0.244 0.359
Tl: 0.975 0.653 0.786
Ni: 0.088 0.198 0.586
Ni: 0.112 0.359 0.156
Ni: 0.550 0.678 0.578
Ni: 0.556 0.811 0.156
O: 0.143 0.332 0.930
O: 0.238 0.849 0.585
O: 0.240 0.987 0.158
O: 0.369 0.531 0.230
O: 0.412 0.343 0.587
O: 0.562 0.636 0.797
O: 0.625 0.846 0.371
O: 0.669 0.115 0.078
O: 0.883 0.532 0.569
O: 0.883 0.669 0.105
O: 0.896 0.045 0.778
O: 0.982 0.207 0.373



Entry 2:
For Na3VH6O7, a GGA+U-relaxed structure gives the theoretical XRD peak list in this record (λ = 1.5418 Å (Cu Kα)).

The 10 most intense peaks (5 to 70 degrees two-theta), by intensity:
- 34.0°, d = 2.638 Å, I 100
- 39.6°, d = 2.278 Å, I 62
- 26.6°, d = 3.350 Å, I 50
- 25.8°, d = 3.458 Å, I 41
- 57.5°, d = 1.603 Å, I 38
- 16.5°, d = 5.381 Å, I 36
- 56.9°, d = 1.618 Å, I 36
- 20.7°, d = 4.281 Å, I 31
- 40.5°, d = 2.226 Å, I 29
- 33.3°, d = 2.690 Å, I 23

Structural model:
Lattice parameters (Å, degrees): 5.589 5.589 5.589 100.00 100.00 100.00
Positions (direct):
Na: 0.018 0.214 0.767
Na: 0.214 0.767 0.018
Na: 0.767 0.018 0.214
V: 0.587 0.587 0.587
H: 0.101 0.474 0.341
H: 0.198 0.846 0.513
H: 0.341 0.101 0.474
H: 0.474 0.341 0.101
H: 0.513 0.198 0.846
H: 0.846 0.513 0.198
O: 0.172 0.987 0.429
O: 0.284 0.590 0.634
O: 0.429 0.172 0.987
O: 0.590 0.634 0.284
O: 0.634 0.284 0.590
O: 0.808 0.808 0.808
O: 0.987 0.429 0.172



Entry 3:
For Li2Mn2Si2O9, a GGA+U-relaxed structure gives the theoretical XRD peak list in this record (λ = 1.5418 Å (Cu Kα)).

The 10 most intense peaks (5 to 70 degrees two-theta), by intensity:
- 27.7°, d = 3.219 Å, I 100
- 16.5°, d = 5.369 Å, I 94
- 33.6°, d = 2.666 Å, I 91
- 21.3°, d = 4.180 Å, I 43
- 20.3°, d = 4.381 Å, I 33
- 41.6°, d = 2.169 Å, I 32
- 21.1°, d = 4.213 Å, I 32
- 30.3°, d = 2.950 Å, I 28
- 37.4°, d = 2.407 Å, I 26
- 37.8°, d = 2.378 Å, I 25

Structural model:
Lattice parameters (Å, degrees): 8.427 5.129 13.931 90.00 90.00 90.00
Positions (direct):
Li: 0.054 0.135 0.161
Li: 0.054 0.865 0.661
Li: 0.446 0.365 0.661
Li: 0.446 0.635 0.161
Li: 0.554 0.365 0.839
Li: 0.554 0.635 0.339
Li: 0.946 0.135 0.339
Li: 0.946 0.865 0.839
Mn: 0.159 0.378 0.830
Mn: 0.159 0.622 0.330
Mn: 0.341 0.122 0.330
Mn: 0.341 0.878 0.830
Mn: 0.659 0.122 0.170
Mn: 0.659 0.878 0.670
Mn: 0.841 0.378 0.670
Mn: 0.841 0.622 0.170
Si: 0.153 0.284 0.528
Si: 0.153 0.716 0.028
Si: 0.347 0.216 0.028
Si: 0.347 0.784 0.528
Si: 0.653 0.216 0.472
Si: 0.653 0.784 0.972
Si: 0.847 0.284 0.972
Si: 0.847 0.716 0.472
O: 0.000 0.472 0.250
O: 0.000 0.528 0.750
O: 0.018 0.226 0.925
O: 0.018 0.774 0.425
O: 0.156 0.287 0.409
O: 0.156 0.713 0.909
O: 0.177 0.061 0.765
O: 0.177 0.939 0.265
O: 0.227 0.443 0.069
O: 0.227 0.557 0.569
O: 0.273 0.057 0.569
O: 0.273 0.943 0.069
O: 0.323 0.439 0.265
O: 0.323 0.561 0.765
O: 0.344 0.213 0.909
O: 0.344 0.787 0.409
O: 0.482 0.274 0.425
O: 0.482 0.726 0.925
O: 0.500 0.028 0.750
O: 0.500 0.972 0.250
O: 0.518 0.274 0.075
O: 0.518 0.726 0.575
O: 0.656 0.213 0.591
O: 0.656 0.787 0.091
O: 0.677 0.439 0.235
O: 0.677 0.561 0.735
O: 0.727 0.057 0.931
O: 0.727 0.943 0.431
O: 0.773 0.443 0.431
O: 0.773 0.557 0.931
O: 0.823 0.061 0.735
O: 0.823 0.939 0.235
O: 0.844 0.287 0.091
O: 0.844 0.713 0.591
O: 0.982 0.226 0.575
O: 0.982 0.774 0.075



Entry 4:
For CsDyW2O8, a GGA+U-relaxed structure gives the theoretical XRD peak list in this record (λ = 1.5418 Å (Cu Kα)).

The 10 most intense peaks (5 to 70 degrees two-theta), by intensity:
- 26.9°, d = 3.309 Å, I 100
- 28.8°, d = 3.098 Å, I 77
- 30.9°, d = 2.897 Å, I 33
- 27.7°, d = 3.225 Å, I 21
- 33.1°, d = 2.709 Å, I 20
- 48.7°, d = 1.871 Å, I 17
- 54.7°, d = 1.677 Å, I 16
- 46.0°, d = 1.972 Å, I 15
- 32.7°, d = 2.735 Å, I 15
- 53.7°, d = 1.707 Å, I 15

Structural model:
Lattice parameters (Å, degrees): 7.697 7.697 7.588 117.47 117.47 88.81
Positions (direct):
Cs: 0.198 0.802 0.750
Cs: 0.802 0.198 0.250
Dy: 0.222 0.778 0.250
Dy: 0.778 0.222 0.750
W: 0.303 0.314 0.283
W: 0.314 0.303 0.783
W: 0.686 0.697 0.217
W: 0.697 0.686 0.717
O: 0.052 0.225 0.706
O: 0.061 0.368 0.123
O: 0.225 0.052 0.206
O: 0.253 0.379 0.566
O: 0.368 0.061 0.623
O: 0.373 0.592 0.038
O: 0.379 0.253 0.066
O: 0.408 0.627 0.462
O: 0.592 0.373 0.538
O: 0.621 0.747 0.934
O: 0.627 0.408 0.962
O: 0.632 0.939 0.377
O: 0.747 0.621 0.434
O: 0.775 0.948 0.794
O: 0.939 0.632 0.877
O: 0.948 0.775 0.294



Entry 5:
For Ni5O7, a GGA+U-relaxed structure gives the theoretical XRD peak list in this record (λ = 1.5418 Å (Cu Kα)).

The 10 most intense peaks (5 to 70 degrees two-theta), by intensity:
- 36.6°, d = 2.454 Å, I 100
- 10.4°, d = 8.489 Å, I 100
- 44.6°, d = 2.030 Å, I 47
- 42.9°, d = 2.107 Å, I 44
- 20.9°, d = 4.249 Å, I 33
- 41.9°, d = 2.157 Å, I 32
- 33.8°, d = 2.649 Å, I 25
- 46.9°, d = 1.936 Å, I 24
- 38.6°, d = 2.330 Å, I 23
- 63.3°, d = 1.469 Å, I 22

Structural model:
Lattice parameters (Å, degrees): 5.127 5.127 16.978 90.00 90.00 147.06
Positions (direct):
Ni: 0.000 0.000 0.000
Ni: 0.000 0.000 0.500
Ni: 0.269 0.731 0.579
Ni: 0.269 0.731 0.921
Ni: 0.467 0.533 0.154
Ni: 0.467 0.533 0.346
Ni: 0.533 0.467 0.654
Ni: 0.533 0.467 0.846
Ni: 0.731 0.269 0.079
Ni: 0.731 0.269 0.421
O: 0.088 0.912 0.106
O: 0.088 0.912 0.394
O: 0.155 0.845 0.674
O: 0.155 0.845 0.826
O: 0.361 0.639 0.035
O: 0.361 0.639 0.465
O: 0.440 0.560 0.750
O: 0.560 0.440 0.250
O: 0.639 0.361 0.535
O: 0.639 0.361 0.965
O: 0.845 0.155 0.174
O: 0.845 0.155 0.326
O: 0.912 0.088 0.606
O: 0.912 0.088 0.894